Na2B3C: calculated X-ray powder pattern (CuKα), based on a DFT-relaxed cell (GGA-PBE, Alexandria).
Lines closer than 0.1° are merged.

Atomic structure:
```
Na2B3C
1.0
8.6096 -2.9139 0.0000
8.6096 2.9139 0.0000
-0.0033 0.0000 5.0533
Na B C
8 12 4
Direct
0.0000 0.0000 0.0000 Na
0.0026 0.5023 0.5005 Na
0.2495 0.7497 0.5005 Na
0.2508 0.2508 0.0021 Na
0.5023 0.0026 0.5005 Na
0.5016 0.5016 0.9994 Na
0.7497 0.2495 0.5005 Na
0.7519 0.7519 0.9976 Na
0.1263 0.1263 0.3348 B
0.1264 0.1264 0.6822 B
0.1385 0.6137 0.1555 B
0.3763 0.3763 0.6635 B
0.3767 0.8752 0.1635 B
0.3897 0.8625 0.8172 B
0.6137 0.1385 0.1555 B
0.6255 0.6255 0.3512 B
0.8625 0.3897 0.8172 B
0.8752 0.3767 0.1635 B
0.8757 0.8757 0.3397 B
0.8759 0.8759 0.6808 B
0.1314 0.6209 0.8351 C
0.3763 0.3763 0.3336 C
0.6209 0.1314 0.8351 C
0.6257 0.6257 0.6677 C
```

Largest 6 diffraction maxima, by angle, 10° ≤ 2θ ≤ 80°:
d [Å]  I/Imax
2.525  18.8
2.178  100.0
2.152  25.0
1.458  11.6
1.248  12.5
1.207  17.0